Record 1
Theoretical X-ray powder pattern of K3FeS3 for Cu Kα (weighted mean of Kα1 and Kα2), from DFT lattice parameters and positions (PBE).
Neutral-atom scattering factors, no anomalous dispersion.

Peak list (10 most intense, 5° ≤ 2θ ≤ 70°, sorted by position)
2θ/deg	I (rel.)
13.11	268
13.51	597
13.93	403
14.55	314
30.19	661
30.47	1000
31.05	387
31.51	547
36.63	400
37.81	262

Cell lengths 7.7759, 12.7122, 10.1783 Å; angles 90.00, 128.46, 90.00 degrees
Space group P2_1/c (No. 14)
Inequivalent atoms, fractional coordinates:
K: 0.1058 0.1386 0.4718 (multiplicity 4)
K: 0.1458 0.0655 0.8969 (multiplicity 4)
K: 0.3786 0.6979 0.5922 (multiplicity 4)
Fe: 0.4399 0.0511 0.3514 (multiplicity 4)
S: 0.1485 0.1603 0.1888 (multiplicity 4)
S: 0.3576 0.6135 0.8812 (multiplicity 4)
S: 0.3748 0.5374 0.2494 (multiplicity 4)


Record 2
Theoretical X-ray powder pattern of AgB2Br8 for Cu Kα (weighted mean of Kα1 and Kα2), from DFT lattice parameters and positions (PBE).
Neutral-atom scattering factors, no anomalous dispersion.

Peak list (10 most intense, 5° ≤ 2θ ≤ 70°, sorted by position)
2θ/deg	I (rel.)
11.34	557
12.19	427
17.36	274
27.38	238
27.60	1000
28.78	328
32.44	162
39.15	363
39.90	254
44.86	216

Cell lengths 18.5053, 9.2540, 11.6617 Å; angles 90.00, 128.27, 90.00 degrees
Space group C2/c (No. 15)
Inequivalent atoms, fractional coordinates:
Ag: 0.0000 0.0262 0.2500 (multiplicity 4)
B: 0.0908 0.2405 0.5554 (multiplicity 8)
Br: 0.0419 0.2572 0.1253 (multiplicity 8)
Br: 0.1013 0.2111 0.7379 (multiplicity 8)
Br: 0.1431 0.0567 0.5250 (multiplicity 8)
Br: 0.1653 0.4114 0.5843 (multiplicity 8)


Record 3
Theoretical X-ray powder pattern of Ba2ThCu2S5 for Cu Kα (weighted mean of Kα1 and Kα2), from DFT lattice parameters and positions (PBE).
Neutral-atom scattering factors, no anomalous dispersion.

Peak list (10 most intense, 5° ≤ 2θ ≤ 70°, sorted by position)
2θ/deg	I (rel.)
19.50	271
26.00	379
26.19	445
28.67	275
29.08	396
31.35	1000
35.27	289
42.39	340
42.64	288
43.69	323

Cell lengths 13.7430, 4.1446, 9.4745 Å; angles 90.00, 115.37, 90.00 degrees
Space group C2/m (No. 12)
Inequivalent atoms, fractional coordinates:
Ba: 0.1757 0.0000 0.1901 (multiplicity 4)
Th: 0.0000 0.0000 0.5000 (multiplicity 2)
Cu: 0.0526 0.5000 0.7970 (multiplicity 4)
S: 0.0000 0.5000 0.0000 (multiplicity 2)
S: 0.1128 0.5000 0.4315 (multiplicity 4)
S: 0.1455 0.0000 0.8112 (multiplicity 4)


Record 4
Theoretical X-ray powder pattern of TbReClO4 for Cu Kα (weighted mean of Kα1 and Kα2), from DFT lattice parameters and positions (PBE).
Neutral-atom scattering factors, no anomalous dispersion.

Peak list (10 most intense, 5° ≤ 2θ ≤ 70°, sorted by position)
2θ/deg	I (rel.)
13.19	307
17.57	370
24.78	704
25.02	1000
28.56	730
29.12	673
34.62	330
35.50	396
46.33	344
46.71	370

Cell lengths 10.4839, 7.1194, 6.9711 Å; angles 90.00, 105.69, 90.00 degrees
Space group C2/m (No. 12)
Inequivalent atoms, fractional coordinates:
Tb: 0.2181 0.0000 0.0976 (multiplicity 4)
Re: 0.1336 0.5000 0.2839 (multiplicity 4)
Cl: 0.0069 0.0000 0.7672 (multiplicity 4)
O: 0.0403 0.5000 0.7863 (multiplicity 4)
O: 0.2019 0.3208 0.1452 (multiplicity 8)
O: 0.2129 0.5000 0.5400 (multiplicity 4)